No. 1
The following is a calculated powder diffraction line list of Hf5In2Au2. It was derived from a crystal structure in Alexandria, relaxed with PBE, using Cu Kα (λ = 1.5418 Å).
Kinematic intensities with the Lorentz-polarization factor, no thermal factor.

Peak list (6 most intense, 2θ = 5–70°, in order of rising 2θ)
32.81 deg, intensity 36, (0 1 3)
37.61 deg, intensity 64, (1 6 1)
37.92 deg, intensity 100, (1 2 3)
38.12 deg, intensity 57, (1 5 2)
39.05 deg, intensity 37, (0 7 1)
39.20 deg, intensity 32, (2 0 2)

Crystal structure
```
data_Hf5In2Au2
_chemical_formula_sum 'Hf20 In8 Au8'
_cell_length_a 5.5202
_cell_length_b 16.8051
_cell_length_c 8.2994
_cell_angle_alpha 90.00
_cell_angle_beta 90.00
_cell_angle_gamma 90.00
_space_group_name_H-M_alt 'I m m a'
_space_group_IT_number 74
_space_group_name_Hall '-I 2b 2'
loop_
_atom_site_label
_atom_site_type_symbol
_atom_site_fract_x
_atom_site_fract_y
_atom_site_fract_z
Hf1 Hf 0.0000 0.1601 0.1138
Hf2 Hf 0.0000 0.2500 0.4790
Hf3 Hf 0.2500 0.0954 0.7500
In1 In 0.0000 0.0730 0.4136
Au1 Au 0.0000 0.0000 0.0000
Au2 Au 0.0000 0.2500 0.8278
```

---

No. 2
The following is a calculated powder diffraction line list of TcNi2. It was derived from a crystal structure in Alexandria, relaxed with PBE, using Cu Kα (λ = 1.5418 Å).
Kinematic intensities with the Lorentz-polarization factor, no thermal factor.

Peak list (6 most intense, 2θ = 5–70°, in order of rising 2θ)
23.46 deg, intensity 6, (0 0 2)
26.79 deg, intensity 8, (0 1 1)
42.84 deg, intensity 100, (1 1 0)
43.34 deg, intensity 97, (0 1 3)
49.21 deg, intensity 33, (0 2 0)
50.66 deg, intensity 60, (1 0 3)

Crystal structure
```
data_TcNi2
_chemical_formula_sum 'Tc2 Ni4'
_cell_length_a 2.5695
_cell_length_b 3.7033
_cell_length_c 7.5835
_cell_angle_alpha 90.00
_cell_angle_beta 90.00
_cell_angle_gamma 90.00
_space_group_name_H-M_alt 'I m m m'
_space_group_IT_number 71
_space_group_name_Hall '-I 2 2'
loop_
_atom_site_label
_atom_site_type_symbol
_atom_site_fract_x
_atom_site_fract_y
_atom_site_fract_z
Tc1 Tc 0.0000 0.0000 0.0000
Ni1 Ni 0.0000 0.0000 0.3338
```

---

No. 3
The following is a calculated powder diffraction line list of AcPr12Y7. It was derived from a crystal structure in Alexandria, relaxed with PBE, using Cu Kα (λ = 1.5418 Å).
Kinematic intensities with the Lorentz-polarization factor, no thermal factor.

Peak list (6 most intense, 2θ = 5–70°, in order of rising 2θ)
29.66 deg, intensity 28, (0 1 5)
30.01 deg, intensity 26, (0 3 3)
30.19 deg, intensity 100, (4 -3 1)
31.55 deg, intensity 55, (3 -1 4)
31.80 deg, intensity 52, (3 1 2)
52.56 deg, intensity 28, (2 5 0)

Crystal structure
```
data_AcPr12Y7
_chemical_formula_sum 'Ac3 Pr36 Y21'
_cell_length_a 12.5523
_cell_length_b 12.5523
_cell_length_c 15.6737
_cell_angle_alpha 90.00
_cell_angle_beta 90.00
_cell_angle_gamma 120.00
_space_group_name_H-M_alt 'R -3'
_space_group_IT_number 148
_space_group_name_Hall '-R 3'
loop_
_atom_site_label
_atom_site_type_symbol
_atom_site_fract_x
_atom_site_fract_y
_atom_site_fract_z
Ac1 Ac 0.0000 0.0000 0.0000
Pr1 Pr 0.0113 0.4356 0.7101
Pr2 Pr 0.0541 0.5924 0.0889
Y1 Y 0.0000 0.0000 0.5000
Y2 Y 0.0467 0.1861 0.7998
```